(1)
Starting from DFT lattice parameters and positions (PBE), the PXRD pattern of Cd3In4 was simulated for copper Kα.
Peak positions follow from Bragg's law for the DFT cell and can differ from measured ones.

Structural model:
```
data_Cd3In4
_chemical_formula_sum 'Cd3 In4'
_space_group_name_H-M_alt 'P 6/m m m'
_space_group_IT_number 191
_space_group_name_Hall '-P 6 2'
_cell_length_a 5.7680
_cell_length_b 5.7680
_cell_length_c 6.3212
_cell_angle_alpha 90.00
_cell_angle_beta 90.00
_cell_angle_gamma 120.00
loop_
_atom_site_label
_atom_site_fract_x
_atom_site_fract_y
_atom_site_fract_z
_atom_site_occupancy
Cd1 0.0000 0.5000 0.0000 1
In1 0.0000 0.0000 0.2606 1
In2 0.3333 0.6667 0.5000 1
```

The 10 most intense peaks (10° ≤ 2θ ≤ 80°), low angle first:
d_spacing, 2theta, I_rel, h k l
3.161, 28.24, 14.7, 0 0 2
2.884, 31.01, 35.7, 1 1 0
2.671, 33.55, 100.0, 1 0 2
2.624, 34.17, 58.7, 1 1 1
2.498, 35.96, 41.0, 2 0 0
2.323, 38.77, 61.9, 2 0 1
1.621, 56.80, 42.2, 2 1 2
1.610, 57.20, 37.4, 2 0 3
1.442, 64.64, 21.6, 2 2 0
1.269, 74.83, 18.3, 3 1 2

(2)
Starting from DFT lattice parameters and positions (PBE), the PXRD pattern of PrHo7Sc3 was simulated for copper Kα.
Peak positions follow from Bragg's law for the DFT cell and can differ from measured ones.

Structural model:
```
data_PrHo7Sc3
_chemical_formula_sum 'Pr1 Ho7 Sc3'
_space_group_name_H-M_alt 'P 3 m 1'
_space_group_IT_number 156
_space_group_name_Hall 'P 3 -2"'
_cell_length_a 6.9539
_cell_length_b 6.9539
_cell_length_c 8.2490
_cell_angle_alpha 90.00
_cell_angle_beta 90.00
_cell_angle_gamma 120.00
loop_
_atom_site_label
_atom_site_fract_x
_atom_site_fract_y
_atom_site_fract_z
_atom_site_occupancy
Pr1 0.0000 0.0000 0.0000 1
Ho1 0.0028 0.5014 0.9877 1
Ho2 0.3312 0.1656 0.3422 1
Ho3 0.3333 0.6667 0.3319 1
Sc1 0.1683 0.3366 0.6628 1
```

The 10 most intense peaks (10° ≤ 2θ ≤ 80°), low angle first:
d_spacing, 2theta, I_rel, h k l
8.249, 10.72, 34.1, 0 0 1
4.124, 21.55, 13.8, 0 0 2
3.011, 29.67, 13.0, 2 0 0
2.829, 31.63, 100.0, 2 0 1
2.750, 32.56, 26.1, 0 0 3
2.432, 36.96, 60.7, 0 2 2
1.738, 52.65, 20.5, 2 2 0
1.701, 53.89, 27.3, 2 0 4
1.481, 62.73, 14.0, 0 4 1
1.469, 63.29, 22.8, 2 2 3

(3)
Starting from DFT lattice parameters and positions (PBE), the PXRD pattern of HoInP2Rh5 was simulated for copper Kα.
Peak positions follow from Bragg's law for the DFT cell and can differ from measured ones.

Structural model:
```
data_HoInP2Rh5
_chemical_formula_sum 'Ho1 In1 P2 Rh5'
_space_group_name_H-M_alt 'P 4/m m m'
_space_group_IT_number 123
_space_group_name_Hall '-P 4 2'
_cell_length_a 4.0302
_cell_length_b 4.0302
_cell_length_c 10.2521
_cell_angle_alpha 90.00
_cell_angle_beta 90.00
_cell_angle_gamma 90.00
loop_
_atom_site_label
_atom_site_fract_x
_atom_site_fract_y
_atom_site_fract_z
_atom_site_occupancy
Ho1 0.0000 0.0000 0.0000 1
In1 0.0000 0.0000 0.5000 1
P1 0.5000 0.5000 0.2193 1
Rh1 0.0000 0.5000 0.3185 1
Rh2 0.5000 0.5000 0.0000 1
```

The 10 most intense peaks (10° ≤ 2θ ≤ 80°), low angle first:
d_spacing, 2theta, I_rel, h k l
3.417, 26.08, 44.3, 0 0 3
3.168, 28.17, 28.3, 1 0 2
2.746, 32.61, 41.5, 1 1 1
2.491, 36.06, 100.0, 1 1 2
2.015, 44.99, 54.8, 2 0 0
1.906, 47.72, 29.6, 1 1 4
1.736, 52.73, 25.2, 2 0 3
1.664, 55.19, 24.3, 1 1 5
1.303, 72.53, 17.9, 2 0 6
1.237, 77.12, 21.3, 3 1 2

(4)
Starting from DFT lattice parameters and positions (PBE), the PXRD pattern of CoNiPt was simulated for copper Kα.
Peak positions follow from Bragg's law for the DFT cell and can differ from measured ones.

Structural model:
```
data_CoNiPt
_chemical_formula_sum 'Co2 Ni2 Pt2'
_space_group_name_H-M_alt 'I m m 2'
_space_group_IT_number 44
_space_group_name_Hall 'I 2 -2'
_cell_length_a 2.6644
_cell_length_b 3.6321
_cell_length_c 7.8772
_cell_angle_alpha 90.00
_cell_angle_beta 90.00
_cell_angle_gamma 90.00
loop_
_atom_site_label
_atom_site_fract_x
_atom_site_fract_y
_atom_site_fract_z
_atom_site_occupancy
Co1 0.0000 0.0000 0.0000 1
Ni1 0.0000 0.0000 0.6567 1
Pt1 0.0000 0.0000 0.3292 1
```

The 10 most intense peaks (10° ≤ 2θ ≤ 80°), low angle first:
d_spacing, 2theta, I_rel, h k l
3.939, 22.58, 35.1, 0 0 2
3.298, 27.03, 54.0, 0 1 1
2.524, 35.57, 27.0, 1 0 1
2.148, 42.06, 100.0, 1 1 0
2.128, 42.48, 96.8, 0 1 3
1.886, 48.25, 20.3, 1 1 2
1.870, 48.69, 64.8, 1 0 3
1.816, 50.24, 29.6, 0 2 0
1.452, 64.15, 12.3, 1 1 4
1.303, 72.56, 38.3, 1 2 3

(5)
Starting from DFT lattice parameters and positions (PBE), the PXRD pattern of Mg2Ga3 was simulated for copper Kα.
Peak positions follow from Bragg's law for the DFT cell and can differ from measured ones.

Structural model:
```
data_Mg2Ga3
_chemical_formula_sum 'Mg8 Ga12'
_space_group_name_H-M_alt 'C m c e'
_space_group_IT_number 64
_space_group_name_Hall '-C 2ac 2'
_cell_length_a 5.8084
_cell_length_b 9.0053
_cell_length_c 7.7455
_cell_angle_alpha 90.00
_cell_angle_beta 90.00
_cell_angle_gamma 90.00
loop_
_atom_site_label
_atom_site_fract_x
_atom_site_fract_y
_atom_site_fract_z
_atom_site_occupancy
Mg1 0.0000 0.1497 0.0946 1
Ga1 0.0000 0.0000 0.5000 1
Ga2 0.2500 0.1122 0.7500 1
```

The 10 most intense peaks (10° ≤ 2θ ≤ 80°), low angle first:
d_spacing, 2theta, I_rel, h k l
4.503, 19.72, 15.7, 0 2 0
4.130, 21.52, 17.8, 1 1 1
3.893, 22.85, 46.4, 0 2 1
2.521, 35.61, 28.1, 1 3 1
2.326, 38.72, 100.0, 2 0 2
2.282, 39.48, 10.3, 1 1 3
2.240, 40.27, 28.4, 0 2 3
1.946, 46.67, 19.3, 0 4 2
1.779, 51.35, 15.2, 2 4 0
1.310, 72.09, 15.2, 2 4 4

(6)
Starting from DFT lattice parameters and positions (PBE), the PXRD pattern of CdGePRuPt was simulated for copper Kα.
Peak positions follow from Bragg's law for the DFT cell and can differ from measured ones.

Structural model:
```
data_CdGePRuPt
_chemical_formula_sum 'Cd1 Ge1 P1 Ru1 Pt1'
_space_group_name_H-M_alt 'P 1'
_space_group_IT_number 1
_space_group_name_Hall 'P 1'
_cell_length_a 3.6635
_cell_length_b 4.8310
_cell_length_c 5.6040
_cell_angle_alpha 81.58
_cell_angle_beta 86.61
_cell_angle_gamma 74.49
loop_
_atom_site_label
_atom_site_fract_x
_atom_site_fract_y
_atom_site_fract_z
_atom_site_occupancy
Cd1 0.0000 0.0000 0.0000 1
Ge1 0.7960 0.7244 0.5820 1
P1 0.2987 0.3545 0.2483 1
Ru1 0.8143 0.2330 0.4657 1
Pt1 0.3593 0.4765 0.8418 1
```

The 10 most intense peaks (10° ≤ 2θ ≤ 80°), low angle first:
d_spacing, 2theta, I_rel, h k l
5.542, 15.99, 87.0, 0 0 1
3.243, 27.51, 83.7, 1 1 0
3.006, 29.72, 100.0, 1 0 1
2.669, 33.58, 47.1, 1 1 -1
2.532, 35.45, 84.8, 0 1 2
2.504, 35.86, 51.0, 1 -1 0
2.240, 40.26, 81.8, 0 2 1
2.214, 40.75, 49.2, 1 2 0
2.202, 40.99, 57.3, 1 0 2
1.997, 45.42, 47.2, 1 1 -2